(1)
Diffraction record for MnSbPb2O8. The X-ray diffraction stick pattern is theoretical, not measured: it uses a structure optimized by DFT (PBE+U) and a wavelength of 1.5418 Å.

Principal peaks in the range 2θ from 10° to 90°, by angle:
2θ (°)	Rel. int.	hkl
18.23	54	0 1 0
25.67	100	1 1 0
26.11	91	1 -1 0
32.21	90	1 0 2
33.18	80	1 0 -2
36.94	50	0 2 0
48.86	37	2 1 2
50.06	33	2 -1 2

Cell and atoms:
Cell: 4.867 4.873 6.633 Å, 88.20 88.18 88.99°
Space group P-1 (No. 2)
Unique sites:
Mn 0.000 0.000 0.000 (multiplicity 1)
Sb 0.000 0.000 0.500 (multiplicity 1)
Pb 0.495 0.495 0.754 (multiplicity 2)
O 0.174 0.171 0.746 (multiplicity 2)
O 0.191 0.188 0.267 (multiplicity 2)
O 0.289 0.709 0.000 (multiplicity 2)
O 0.293 0.703 0.500 (multiplicity 2)

(2)
Diffraction record for ScMn2PbO6. The X-ray diffraction stick pattern is theoretical, not measured: it uses a structure optimized by DFT (PBE+U) and a wavelength of 1.5418 Å.

Principal peaks in the range 2θ from 10° to 90°, by angle:
2θ (°)	Rel. int.	hkl
19.93	70	1 0 1
22.66	42	0 1 2
31.40	100	1 0 4
33.11	85	1 1 0
38.22	33	2 -1 3
46.28	44	0 2 4
50.96	26	1 1 6
58.08	38	2 1 4

Cell and atoms:
Cell: 5.4108 5.4108 14.3509 Å, 90.00 90.00 120.00°
Space group R3 (No. 146, hexagonal axes)
Unique sites:
Sc 0.0000 0.0000 0.0000 (multiplicity 3)
Mn 0.0000 0.0000 0.3003 (multiplicity 3)
Mn 0.0000 0.0000 0.7867 (multiplicity 3)
Pb 0.0000 0.0000 0.5186 (multiplicity 3)
O 0.0082 0.4195 0.5612 (multiplicity 9)
O 0.0178 0.7134 0.3838 (multiplicity 9)

(3)
Diffraction record for MnPbSe2O8. The X-ray diffraction stick pattern is theoretical, not measured: it uses a structure optimized by DFT (PBE+U) and a wavelength of 1.5418 Å.

Principal peaks in the range 2θ from 10° to 90°, by angle:
2θ (°)	Rel. int.	hkl
11.39	20	0 0 3
25.46	100	1 0 4
35.56	41	1 1 0
37.07	33	0 1 8
37.45	17	1 1 3
44.24	21	0 2 4
58.00	20	2 1 4
60.09	20	1 1 12

Cell and atoms:
Cell: 5.0499 5.0499 23.3160 Å, 90.00 90.00 120.00°
Space group R32 (No. 155, hexagonal axes)
Unique sites:
Mn 0.0000 0.0000 0.0000 (multiplicity 3)
Pb 0.0000 0.0000 0.5000 (multiplicity 3)
Se 0.0000 0.0000 0.2509 (multiplicity 6)
O 0.0000 0.0000 0.1787 (multiplicity 6)
O 0.0031 0.3190 0.7282 (multiplicity 18)

(4)
Diffraction record for SrMnPbO3. The X-ray diffraction stick pattern is theoretical, not measured: it uses a structure optimized by DFT (PBE+U) and a wavelength of 1.5418 Å.

Principal peaks in the range 2θ from 10° to 90°, by angle:
2θ (°)	Rel. int.	hkl
11.11	49	0 0 1
16.11	68	1 0 1
25.91	71	2 0 1
27.94	54	0 1 1
32.50	55	2 0 -2
34.18	60	0 1 2
34.87	100	2 1 0
49.32	52	2 1 3

Cell and atoms:
Cell: 7.626 3.486 7.967 Å, 90.00 90.14 90.00°
Space group P2_1/m (No. 11)
Unique sites:
Sr 0.140 0.250 0.331 (multiplicity 2)
Mn 0.137 0.250 0.917 (multiplicity 2)
Pb 0.392 0.750 0.674 (multiplicity 2)
O 0.128 0.250 0.654 (multiplicity 2)
O 0.146 0.750 0.063 (multiplicity 2)
O 0.375 0.750 0.397 (multiplicity 2)

(5)
Diffraction record for Mn2V2PbO10. The X-ray diffraction stick pattern is theoretical, not measured: it uses a structure optimized by DFT (PBE+U) and a wavelength of 1.5418 Å.

Principal peaks in the range 2θ from 10° to 90°, by angle:
2θ (°)	Rel. int.	hkl
19.08	49	2 0 -1
19.22	100	1 1 -1
26.48	75	1 1 -2
28.13	49	2 0 1
32.21	47	3 1 -1
32.47	42	0 2 1
33.70	33	1 1 2
53.10	31	4 2 -3

Cell and atoms:
Cell: 9.439 5.942 8.171 Å, 90.00 114.92 90.00°
Space group C2/m (No. 12)
Unique sites:
Mn 0.250 0.250 0.000 (multiplicity 4)
V 0.067 0.000 0.253 (multiplicity 4)
Pb 0.000 0.500 0.500 (multiplicity 2)
O 0.051 0.239 0.771 (multiplicity 8)
O 0.165 0.000 0.100 (multiplicity 4)
O 0.177 0.500 0.081 (multiplicity 4)
O 0.210 0.000 0.461 (multiplicity 4)

(6)
Diffraction record for MnV2Pb2O9. The X-ray diffraction stick pattern is theoretical, not measured: it uses a structure optimized by DFT (PBE+U) and a wavelength of 1.5418 Å.

Principal peaks in the range 2θ from 10° to 90°, by angle:
2θ (°)	Rel. int.	hkl
18.46	55	0 1 1
21.26	37	2 0 -1
23.96	35	1 1 1
26.14	100	2 1 -1
28.83	54	2 1 -2
30.38	36	0 2 0
32.02	35	1 1 2
38.52	37	2 2 0

Cell and atoms:
Cell: 8.394 5.884 9.091 Å, 90.00 113.44 90.00°
Space group P2_1/m (No. 11)
Unique sites:
Mn 0.000 0.000 0.000 (multiplicity 2)
V 0.001 0.250 0.686 (multiplicity 2)
V 0.408 0.750 0.185 (multiplicity 2)
Pb 0.283 0.250 0.379 (multiplicity 2)
Pb 0.309 0.750 0.735 (multiplicity 2)
O 0.046 0.000 0.807 (multiplicity 4)
O 0.129 0.250 0.582 (multiplicity 2)
O 0.155 0.250 0.086 (multiplicity 2)
O 0.165 0.750 0.090 (multiplicity 2)
O 0.216 0.750 0.444 (multiplicity 2)
O 0.483 0.509 0.304 (multiplicity 4)
O 0.486 0.750 0.043 (multiplicity 2)

(7)
Diffraction record for Mn2V3PbO8. The X-ray diffraction stick pattern is theoretical, not measured: it uses a structure optimized by DFT (PBE+U) and a wavelength of 1.5418 Å.

Principal peaks in the range 2θ from 10° to 90°, by angle:
2θ (°)	Rel. int.	hkl
17.33	33	1 0 1
19.88	37	0 1 2
27.93	57	1 0 4
28.60	57	1 1 0
32.77	48	0 1 5
33.34	100	1 1 3
33.63	42	0 2 1
57.72	31	2 0 8

Cell and atoms:
Cell: 6.2433 6.2433 15.8386 Å, 90.00 90.00 120.00°
Space group R3m (No. 160, hexagonal axes)
Unique sites:
Mn 0.0000 0.0000 0.0000 (multiplicity 3)
Mn 0.0000 0.0000 0.3764 (multiplicity 3)
V 0.0044 0.5022 0.8772 (multiplicity 9)
Pb 0.0000 0.0000 0.7498 (multiplicity 3)
O 0.0000 0.0000 0.1362 (multiplicity 3)
O 0.0000 0.0000 0.6043 (multiplicity 3)
O 0.0460 0.5230 0.1414 (multiplicity 9)
O 0.1812 0.3623 0.9479 (multiplicity 9)

(8)
Diffraction record for Mn2Pd2O7. The X-ray diffraction stick pattern is theoretical, not measured: it uses a structure optimized by DFT (PBE+U) and a wavelength of 1.5418 Å.

Principal peaks in the range 2θ from 10° to 90°, by angle:
2θ (°)	Rel. int.	hkl
15.75	45	0 1 1
24.47	100	0 3 1
31.80	68	0 2 2
33.01	33	1 0 1
35.67	44	1 2 1
35.83	40	1 3 0
46.63	31	1 3 2
53.80	27	1 0 3

Cell and atoms:
Cell: 3.019 13.484 6.192 Å, 90.00 90.00 90.00°
Space group Imm2 (No. 44)
Unique sites:
Mn 0.000 0.000 0.000 (multiplicity 2)
Mn 0.000 0.500 0.002 (multiplicity 2)
Pd 0.000 0.190 0.284 (multiplicity 4)
O 0.000 0.094 0.527 (multiplicity 4)
O 0.000 0.233 0.924 (multiplicity 4)
O 0.000 0.405 0.681 (multiplicity 4)
O 0.000 0.500 0.303 (multiplicity 2)